No. 1
Simulated powder X-ray diffraction pattern of ZnIn2S4 for a wavelength of 1.5418 Å, from a cell relaxed with GGA-PBE.
Lines closer than 0.1° are merged.

Largest 6 diffraction maxima, by angle, 2θ from 10° to 90°:
2theta	I/Imax
14.27	30
27.51	100
33.33	48
43.75	41
47.86	72
89.25	24

Structure:
Cell: 7.6030 7.6030 7.6030 Å, 60.00 60.00 60.00°
Atoms (fractional coordinates):
Zn1 0.1250 0.1250 0.1250
Zn2 0.8750 0.8750 0.8750
In1 0.0000 0.5000 0.5000
In2 0.5000 0.0000 0.5000
In3 0.5000 0.5000 0.0000
In4 0.5000 0.5000 0.5000
S1 0.2544 0.2544 0.2544
S2 0.2544 0.2544 0.7368
S3 0.2544 0.7368 0.2544
S4 0.2632 0.7456 0.7456
S5 0.7368 0.2544 0.2544
S6 0.7456 0.2632 0.7456
S7 0.7456 0.7456 0.2632
S8 0.7456 0.7456 0.7456

---

No. 2
Simulated powder X-ray diffraction pattern of MgGaIr2 for a wavelength of 1.5418 Å, from a cell relaxed with GGA-PBE.
Lines closer than 0.1° are merged.

Largest 6 diffraction maxima, by angle, 2θ from 10° to 90°:
2theta	I/Imax
29.06	44
41.57	100
51.52	13
60.24	17
68.26	17
75.85	34

Structure:
Cell: 6.1449 6.1449 6.1449 Å, 90.00 90.00 90.00°
Atoms (fractional coordinates):
Mg1 0.0000 0.0000 0.0000
Mg2 0.0000 0.5000 0.5000
Mg3 0.5000 0.0000 0.5000
Mg4 0.5000 0.5000 0.0000
Ga1 0.0000 0.0000 0.5000
Ga2 0.0000 0.5000 0.0000
Ga3 0.5000 0.0000 0.0000
Ga4 0.5000 0.5000 0.5000
Ir1 0.2500 0.2500 0.2500
Ir2 0.2500 0.2500 0.7500
Ir3 0.2500 0.7500 0.2500
Ir4 0.2500 0.7500 0.7500
Ir5 0.7500 0.2500 0.2500
Ir6 0.7500 0.2500 0.7500
Ir7 0.7500 0.7500 0.2500
Ir8 0.7500 0.7500 0.7500